MnIn2BiS6: computed powder X-ray diffraction pattern (λ = 1.5418 Å (Cu Kα)), based on a cell relaxed with PBE.
Neutral-atom scattering factors, no anomalous dispersion.

The 10 most intense peaks (2θ = 15–90°), most intense first:
d 3.823, 2θ 23.27, I 100.0, (3 1 0); d 3.359, 2θ 26.54, I 90.9, (1 3 -1); d 3.384, 2θ 26.34, I 68.9, (2 2 1); d 3.327, 2θ 26.80, I 51.6, (0 0 2); d 3.805, 2θ 23.38, I 48.4, (2 2 -1); d 1.960, 2θ 46.31, I 43.9, (1 3 -3); d 1.891, 2θ 48.12, I 39.7, (5 3 1); d 2.759, 2θ 32.45, I 35.8, (3 1 -2); d 1.870, 2θ 48.70, I 34.6, (4 2 -3); d 2.656, 2θ 33.74, I 31.7, (4 2 -1)

Structural model:
```
data_MnIn2BiS6
_chemical_formula_sum 'Mn4 In8 Bi4 S24'
_cell_length_a 12.324
_cell_length_b 11.876
_cell_length_c 6.770
_cell_angle_alpha 90.00
_cell_angle_beta 100.62
_cell_angle_gamma 90.00
_symmetry_space_group_name_H-M 'C 1 2/c 1'
_symmetry_Int_Tables_number 15
loop_
_symmetry_equiv_pos_as_xyz
'x,y,z'
'-x,-y,-z'
'-x,y,-z+1/2'
'x,-y,z+1/2'
'x+1/2,y+1/2,z'
'-x+1/2,-y+1/2,-z'
'-x+1/2,y+1/2,-z+1/2'
'x+1/2,-y+1/2,z+1/2'
loop_
_atom_site_label
_atom_site_fract_x
_atom_site_fract_y
_atom_site_fract_z
Mn1 0.000 0.235 0.250
In1 0.174 0.089 0.791
Bi1 0.000 0.404 0.750
S1 0.116 0.396 0.148
S2 0.118 0.252 0.567
S3 0.131 0.100 0.137
```